Starting from a crystal structure in Alexandria, relaxed with PBE+U, the powder diffractogram of MgVFeP4O14 was simulated for Cu Kα.

Most intense lines, 2θ from 5° to 70°, by angle:
- 5.279 Å, I 100
- 5.222 Å, I 58
- 4.081 Å, I 27
- 3.953 Å, I 18
- 3.500 Å, I 14
- 3.267 Å, I 14
- 3.170 Å, I 34
- 3.126 Å, I 52
- 3.052 Å, I 32
- 3.008 Å, I 41

Structure:
```
data_MgVFeP4O14
_chemical_formula_sum 'Mg1 V1 Fe1 P4 O14'
_space_group_name_H-M_alt 'P 1'
_space_group_IT_number 1
_cell_length_a 5.037
_cell_length_b 7.116
_cell_length_c 8.231
_cell_angle_alpha 89.85
_cell_angle_beta 87.33
_cell_angle_gamma 73.51
loop_
_space_group_symop_operation_xyz
'x,y,z'
loop_
_atom_site_label
_atom_site_type_symbol
_atom_site_fract_x
_atom_site_fract_y
_atom_site_fract_z
Mg1 Mg 0.000 0.000 0.000
V1 V 0.941 0.337 0.373
Fe1 Fe 0.541 0.764 0.840
P1 P 0.097 0.562 0.057
P2 P 0.332 0.553 0.553
P3 P 0.505 0.185 0.135
P4 P 0.980 0.949 0.619
O1 O 0.100 0.451 0.541
O2 O 0.131 0.984 0.770
O3 O 0.192 0.782 0.507
O4 O 0.225 0.734 0.050
O5 O 0.317 0.171 0.280
O6 O 0.354 0.367 0.025
O7 O 0.436 0.545 0.722
O8 O 0.557 0.482 0.416
O9 O 0.580 0.007 0.018
O10 O 0.720 0.893 0.663
O11 O 0.797 0.206 0.173
O12 O 0.886 0.568 0.933
O13 O 0.923 0.126 0.504
O14 O 0.984 0.538 0.232
```